The following is a simulated powder X-ray diffraction pattern of LiSnHgSb. It was derived from DFT lattice parameters and positions (PBE), using λ = 1.5418 Å (Cu Kα).
Lines closer than 0.1° are merged.

Peak list (6 most intense, 2θ = 5–70°, by angle)
(hkl)	2θ/deg	Rel. int.
1 1 0	23.51	27
1 1 -1	24.55	36
2 0 -2	29.61	52
1 1 1	30.35	100
1 1 -2	32.77	32
3 1 -1	41.07	49

Crystal structure
abc: 7.5478 4.5373 6.8539
angles: 90.00 114.74 90.00
Space group Cm (No. 8)
Inequivalent atoms, fractional coordinates:
Li1 0.0000 0.0000 0.0000 x2
Sn1 0.4964 0.0000 0.4556 x2
Hg1 0.2620 0.0000 0.7794 x2
Sb1 0.2357 0.5000 0.2005 x2

The following is a simulated powder X-ray diffraction pattern of La4PmSn4. It was derived from DFT lattice parameters and positions (PBE), using λ = 1.5418 Å (Cu Kα).
Lines closer than 0.1° are merged.

Peak list (6 most intense, 2θ = 5–70°, by angle)
(hkl)	2θ/deg	Rel. int.
1 0 2	28.49	41
1 3 0	29.13	100
1 2 2	34.07	48
4 2 0	41.67	32
2 3 2	43.35	32
4 1 2	47.42	25

Crystal structure
abc: 9.6942 9.6942 6.6220
angles: 90.00 90.00 90.00
Space group P4_2/n (No. 86, origin choice 2)
Inequivalent atoms, fractional coordinates:
La1 0.0358 0.6678 0.1124 x8
Pm1 0.2500 0.2500 0.2500 x2
Sn1 0.0228 0.6421 0.6039 x8

The following is a simulated powder X-ray diffraction pattern of Pr2SmGa2Pt7. It was derived from DFT lattice parameters and positions (PBE), using λ = 1.5418 Å (Cu Kα).
Lines closer than 0.1° are merged.

Peak list (6 most intense, 2θ = 5–70°, by angle)
(hkl)	2θ/deg	Rel. int.
0 0 1	6.28	100
2 0 -3	33.77	54
2 0 2	35.06	76
0 2 3	36.30	98
2 2 -1	43.77	91
2 2 0	43.98	38

Crystal structure
abc: 5.8847 5.8249 14.2328
angles: 90.00 98.47 90.00
Space group C2/m (No. 12)
Inequivalent atoms, fractional coordinates:
Pr1 0.1127 0.0000 0.3566 x4
Sm1 0.0000 0.0000 0.0000 x2
Ga1 0.0904 0.5000 0.2540 x4
Pt1 0.0000 0.5000 0.0000 x2
Pt2 0.1275 0.5000 0.4291 x4
Pt3 0.1950 0.2501 0.8458 x8

The following is a simulated powder X-ray diffraction pattern of CsIn2PbI8. It was derived from DFT lattice parameters and positions (PBE), using λ = 1.5418 Å (Cu Kα).
Lines closer than 0.1° are merged.

Peak list (6 most intense, 2θ = 5–70°, by angle)
(hkl)	2θ/deg	Rel. int.
1 1 0	23.14	91
1 1 3	24.37	50
1 1 6	27.74	100
1 1 9	32.64	52
1 1 12	38.57	60
3 0 0	40.66	79

Crystal structure
abc: 7.6867 7.6867 35.2548
angles: 90.00 90.00 120.00
Space group R32 (No. 155, hexagonal axes)
Inequivalent atoms, fractional coordinates:
Cs1 0.0000 0.0000 0.0000 x3
In1 0.0000 0.0000 0.2524 x6
Pb1 0.0000 0.0000 0.5000 x3
I1 0.0000 0.0000 0.3320 x6
I2 0.0078 0.3592 0.7727 x18

The following is a simulated powder X-ray diffraction pattern of HoSc12Tl3. It was derived from DFT lattice parameters and positions (PBE), using λ = 1.5418 Å (Cu Kα).
Lines closer than 0.1° are merged.

Peak list (6 most intense, 2θ = 5–70°, by angle)
(hkl)	2θ/deg	Rel. int.
1 0 0	19.53	38
1 0 4	27.48	34
1 1 4	33.93	100
2 0 0	39.65	33
2 0 8	56.72	21
3 1 4	68.31	25

Crystal structure
abc: 4.5458 4.5458 18.5475
angles: 90.00 90.00 90.00
Space group P4/mmm (No. 123)
Inequivalent atoms, fractional coordinates:
Ho1 0.0000 0.0000 0.0000 x1
Sc1 0.0000 0.5000 0.1319 x4
Sc2 0.0000 0.5000 0.3780 x4
Sc3 0.5000 0.5000 0.0000 x1
Sc4 0.5000 0.5000 0.2570 x2
Sc5 0.5000 0.5000 0.5000 x1
Tl1 0.0000 0.0000 0.2564 x2
Tl2 0.0000 0.0000 0.5000 x1

The following is a simulated powder X-ray diffraction pattern of Rb4Pb3Cl10. It was derived from DFT lattice parameters and positions (PBE), using λ = 1.5418 Å (Cu Kα).
Lines closer than 0.1° are merged.

Peak list (6 most intense, 2θ = 5–70°, by angle)
(hkl)	2θ/deg	Rel. int.
1 0 1	15.67	38
1 1 0	22.00	68
1 0 7	22.19	100
2 0 0	31.31	64
2 1 7	38.72	50
2 0 14	45.28	34

Crystal structure
abc: 5.7133 5.7133 39.3193
angles: 90.00 90.00 90.00
Space group I4/mmm (No. 139)
Inequivalent atoms, fractional coordinates:
Rb1 0.0000 0.0000 0.0680 x4
Rb2 0.0000 0.0000 0.2003 x4
Pb1 0.0000 0.0000 0.3528 x4
Pb2 0.0000 0.0000 0.5000 x2
Cl1 0.0000 0.0000 0.2821 x4
Cl2 0.0000 0.0000 0.4277 x4
Cl3 0.0000 0.5000 0.0000 x4
Cl4 0.0000 0.5000 0.1449 x8

The following is a simulated powder X-ray diffraction pattern of TbPmTm2As4. It was derived from DFT lattice parameters and positions (PBE), using λ = 1.5418 Å (Cu Kα).
Lines closer than 0.1° are merged.

Peak list (6 most intense, 2θ = 5–70°, by angle)
(hkl)	2θ/deg	Rel. int.
2 0 0	26.45	23
1 1 1	30.64	100
0 2 0	43.88	75
3 1 1	51.96	12
0 0 4	54.46	26
2 2 2	63.79	12

Crystal structure
abc: 7.1436 4.1296 7.1486
angles: 90.00 109.48 90.00
Space group P2/m (No. 10)
Inequivalent atoms, fractional coordinates:
Tb1 0.0000 0.0000 0.0000 x1
Pm1 0.0000 0.5000 0.5000 x1
Tm1 0.5000 0.0000 0.5000 x1
Tm2 0.5000 0.5000 0.0000 x1
As1 0.2569 0.5000 0.2496 x2
As2 0.2589 0.0000 0.7558 x2

The following is a simulated powder X-ray diffraction pattern of LiPr3Pb2. It was derived from DFT lattice parameters and positions (PBE), using λ = 1.5418 Å (Cu Kα).
Lines closer than 0.1° are merged.

Peak list (6 most intense, 2θ = 5–70°, by angle)
(hkl)	2θ/deg	Rel. int.
1 2 1	20.23	100
1 3 2	30.94	26
0 4 2	32.61	59
2 0 2	32.95	61
2 4 0	34.39	48
2 4 4	57.46	23

Crystal structure
abc: 7.3086 14.8864 8.1372
angles: 90.00 90.00 90.00
Space group Ibam (No. 72)
Inequivalent atoms, fractional coordinates:
Li1 0.0000 0.0000 0.0000 x4
Pr1 0.0000 0.2261 0.2500 x8
Pr2 0.0000 0.5000 0.2500 x4
Pb1 0.2169 0.3697 0.0000 x8

The following is a simulated powder X-ray diffraction pattern of LiAs2Se4. It was derived from DFT lattice parameters and positions (PBE), using λ = 1.5418 Å (Cu Kα).
Lines closer than 0.1° are merged.

Peak list (6 most intense, 2θ = 5–70°, by angle)
(hkl)	2θ/deg	Rel. int.
0 0 2	13.12	44
0 2 4	30.09	100
1 3 0	32.25	61
1 3 1	32.94	66
1 3 2	34.95	71
1 5 3	48.28	54

Crystal structure
abc: 3.7199 12.5105 13.4968
angles: 90.00 90.00 90.00
Space group Cmcm (No. 63)
Inequivalent atoms, fractional coordinates:
Li1 0.0000 0.0946 0.2500 x4
As1 0.0000 0.3596 0.0749 x8
Se1 0.0000 0.0000 0.0000 x4
Se2 0.0000 0.2806 0.6157 x8
Se3 0.0000 0.4487 0.2500 x4